Record 1
Computed powder diffraction line list of Na5CoO4 for λ = 1.5418 Å (Cu Kα), from a cell relaxed with PBE+U.
Kinematic intensities with the Lorentz-polarization factor, no thermal factor.

Top 12 peaks for 2θ from 5° to 70°, by intensity:
Position (°2θ)	d/Å	intensity
38.35	2.347	100
18.93	4.687	95
33.68	2.661	87
40.85	2.209	74
35.71	2.514	69
41.24	2.189	62
18.64	4.761	57
20.95	4.240	54
31.69	2.823	51
54.42	1.686	48
47.43	1.917	44
35.22	2.548	40

Crystal structure
Lattice parameters (Å, degrees): 7.671 6.073 5.921 90.00 90.00 90.00
Space group Pmn2_1 (No. 31)
Unique sites:
Na 0.000 0.175 0.000
Na 0.184 0.568 0.686
Na 0.199 0.111 0.502
Co 0.000 0.674 0.249
O 0.000 0.372 0.351
O 0.000 0.759 0.943
O 0.221 0.767 0.355



Record 2
Computed powder diffraction line list of KRb2MoO3F3 for λ = 1.5418 Å (Cu Kα), from a cell relaxed with PBE+U.
Kinematic intensities with the Lorentz-polarization factor, no thermal factor.

Top 12 peaks for 2θ from 5° to 70°, by intensity:
Position (°2θ)	d/Å	intensity
27.75	3.215	100
27.92	3.195	92
27.36	3.260	89
16.85	5.263	53
48.82	1.865	38
48.49	1.877	37
39.34	2.290	37
38.82	2.320	36
40.46	2.229	32
49.53	1.840	29
34.07	2.632	24
56.46	1.630	21

Crystal structure
Lattice parameters (Å, degrees): 8.918 9.161 9.279 90.00 90.00 90.00
Space group Fmm2 (No. 42)
Unique sites:
K 0.000 0.000 0.000
Rb 0.250 0.250 0.244
Mo 0.000 0.000 0.485
O 0.000 0.000 0.293
O 0.201 0.000 0.525
F 0.000 0.000 0.726
F 0.000 0.221 0.499



Record 3
Computed powder diffraction line list of NaMgMnO2 for λ = 1.5418 Å (Cu Kα), from a cell relaxed with PBE+U.
Kinematic intensities with the Lorentz-polarization factor, no thermal factor.

Top 12 peaks for 2θ from 5° to 70°, by intensity:
Position (°2θ)	d/Å	intensity
14.70	6.026	100
26.86	3.319	79
33.46	2.678	54
42.77	2.114	24
29.65	3.013	23
44.17	2.050	22
55.37	1.659	21
56.53	1.628	19
36.73	2.447	18
31.07	2.879	18
45.31	2.002	14
46.31	1.961	12

Crystal structure
Lattice parameters (Å, degrees): 5.760 5.356 6.029 90.00 91.76 90.00
Space group C2/m (No. 12)
Unique sites:
Na 0.000 0.000 0.000
Mg 0.000 0.000 0.500
Mn 0.000 0.500 0.500
O 0.250 0.000 0.292